Structure and computed XRD peak list of Na6V2PC4O16 (a DFT-relaxed cell (GGA+U, the Materials Project); Cu Kα (λ = 1.5418 Å)).
No peak broadening, texture or thermal motion is included.

Top 6 peaks for 10° ≤ 2θ ≤ 80°, most intense first:
hkl 5 1 1, 2θ = 33.02°, I 100.0
hkl 3 1 1, 2θ = 20.90°, I 66.8
hkl 4 4 0, 2θ = 36.04°, I 45.9
hkl 5 5 5, 2θ = 56.54°, I 29.8
hkl 1 1 1, 2θ = 10.87°, I 19.6
hkl 7 1 1, 2θ = 45.98°, I 19.4

Lattice parameters (Å, degrees): 14.096 14.096 14.096 90.00 90.00 90.00
Space group Fd-3 (No. 203, origin choice 2)
Symmetry-distinct sites (fractional):
Na 0.081 0.375 0.375
V 0.000 0.000 0.500
P 0.125 0.125 0.125
C 0.034 0.034 0.716
O 0.022 0.274 0.604
O 0.061 0.061 0.061

=====

Structure and computed XRD peak list of Cr2NiO4 (a DFT-relaxed cell (GGA+U, the Materials Project); Cu Kα (λ = 1.5418 Å)).
No peak broadening, texture or thermal motion is included.

Top 6 peaks for 10° ≤ 2θ ≤ 80°, most intense first:
hkl -2 1 1, 2θ = 35.52°, I 100.0
hkl 1 0 1, 2θ = 34.66°, I 95.2
hkl 1 -1 1, 2θ = 29.68°, I 73.6
hkl 1 -2 1, 2θ = 35.23°, I 67.0
hkl 1 2 -1, 2θ = 35.38°, I 66.5
hkl 2 2 0, 2θ = 61.69°, I 58.0

Lattice parameters (Å, degrees): 5.895 5.957 5.977 119.48 118.95 90.46
Space group P1 (No. 1)
Symmetry-distinct sites (fractional):
Cr 0.000 0.000 0.000
Cr 0.000 0.498 0.498
Cr 0.001 0.999 0.501
Cr 0.499 0.000 0.999
Ni 0.379 0.628 0.248
Ni 0.624 0.379 0.749
O 0.216 0.232 0.469
O 0.228 0.750 0.964
O 0.237 0.218 0.972
O 0.246 0.762 0.527
O 0.750 0.229 0.467
O 0.762 0.245 0.025
O 0.764 0.786 0.035
O 0.786 0.761 0.533

=====

Structure and computed XRD peak list of Mn3VCr2P6O24 (a DFT-relaxed cell (GGA+U, the Materials Project); Cu Kα (λ = 1.5418 Å)).
No peak broadening, texture or thermal motion is included.

Top 6 peaks for 10° ≤ 2θ ≤ 80°, most intense first:
hkl 1 1 3, 2θ = 24.27°, I 100.0
hkl 1 1 0, 2θ = 20.45°, I 69.7
hkl 1 1 6, 2θ = 33.34°, I 62.2
hkl 3 0 0, 2θ = 35.81°, I 37.3
hkl 1 2 8, 2θ = 47.74°, I 25.8
hkl 2 2 6, 2θ = 49.73°, I 25.2

Lattice parameters (Å, degrees): 8.6862 8.6862 20.5291 90.00 90.00 120.00
Space group R3 (No. 146, hexagonal axes)
Symmetry-distinct sites (fractional):
Mn 0.0000 0.0000 0.0000
Mn 0.0000 0.0000 0.2097
Mn 0.0000 0.0000 0.4996
V 0.0000 0.0000 0.7094
Cr 0.0000 0.0000 0.3556
Cr 0.0000 0.0000 0.8545
P 0.0007 0.7016 0.1040
P 0.0366 0.3692 0.2712
O 0.0036 0.7928 0.1670
O 0.0050 0.8341 0.7788
O 0.0170 0.1841 0.2860
O 0.0186 0.1999 0.6649
O 0.1341 0.4564 0.2091
O 0.1366 0.6775 0.7096
O 0.1629 0.6719 0.0927
O 0.1651 0.4890 0.5946

=====

Structure and computed XRD peak list of Li9Mn2Co5O16 (a DFT-relaxed cell (GGA+U, the Materials Project); Cu Kα (λ = 1.5418 Å)).
No peak broadening, texture or thermal motion is included.

Top 6 peaks for 10° ≤ 2θ ≤ 80°, most intense first:
hkl 0 1 1, 2θ = 18.26°, I 100.0
hkl 1 1 5, 2θ = 43.02°, I 57.3
hkl 1 0 4, 2θ = 35.60°, I 29.0
hkl 1 2 -2, 2θ = 44.13°, I 25.8
hkl 1 1 -3, 2θ = 36.33°, I 12.3
hkl 3 0 4, 2θ = 62.64°, I 7.9

Lattice parameters (Å, degrees): 5.104 5.110 11.446 80.14 85.12 81.51
Space group P-1 (No. 2)
Symmetry-distinct sites (fractional):
Li 0.000 0.000 0.000
Li 0.242 0.441 0.061
Li 0.244 0.692 0.817
Li 0.248 0.188 0.308
Li 0.253 0.936 0.564
Mn 0.001 0.249 0.754
Co 0.000 0.500 0.500
Co 0.493 0.114 0.880
Co 0.500 0.380 0.626
O 0.119 0.819 0.401
O 0.123 0.063 0.165
O 0.127 0.337 0.892
O 0.129 0.571 0.655
O 0.352 0.560 0.220
O 0.358 0.062 0.717
O 0.376 0.300 0.468
O 0.397 0.796 0.965

=====

Structure and computed XRD peak list of Li4CoSi3O9 (a DFT-relaxed cell (GGA+U, the Materials Project); Cu Kα (λ = 1.5418 Å)).
No peak broadening, texture or thermal motion is included.

Top 6 peaks for 10° ≤ 2θ ≤ 80°, most intense first:
hkl 0 2 0, 2θ = 17.48°, I 100.0
hkl 2 2 -2, 2θ = 34.41°, I 67.4
hkl 1 1 2, 2θ = 23.36°, I 66.3
hkl 1 1 -2, 2θ = 22.76°, I 33.8
hkl 1 1 0, 2θ = 14.78°, I 32.0
hkl 1 1 -1, 2θ = 17.02°, I 26.8

Lattice parameters (Å, degrees): 7.431 10.141 10.083 90.00 91.86 90.00
Space group C2 (No. 5)
Symmetry-distinct sites (fractional):
Li 0.000 0.000 0.000
Li 0.000 0.003 0.500
Li 0.000 0.557 0.000
Li 0.000 0.640 0.500
Li 0.141 0.330 0.707
Li 0.214 0.600 0.295
Co 0.008 0.830 0.244
Si 0.188 0.329 0.445
Si 0.206 0.281 0.004
Si 0.225 0.118 0.250
O 0.000 0.355 0.000
O 0.000 0.402 0.500
O 0.062 0.643 0.718
O 0.100 0.232 0.322
O 0.160 0.877 0.912
O 0.170 0.973 0.295
O 0.181 0.136 0.086
O 0.186 0.938 0.621
O 0.224 0.736 0.440
O 0.236 0.738 0.143

=====

Structure and computed XRD peak list of Ba2NdMoO6 (a DFT-relaxed cell (GGA+U, the Materials Project); Cu Kα (λ = 1.5418 Å)).
No peak broadening, texture or thermal motion is included.

Top 6 peaks for 10° ≤ 2θ ≤ 80°, most intense first:
hkl 1 1 2, 2θ = 29.10°, I 100.0
hkl 2 0 0, 2θ = 29.41°, I 51.4
hkl 1 3 2, 2θ = 51.97°, I 41.3
hkl 2 2 0, 2θ = 42.07°, I 27.8
hkl 2 0 4, 2θ = 51.39°, I 21.4
hkl 2 2 4, 2θ = 60.32°, I 18.1

Lattice parameters (Å, degrees): 6.075 6.075 8.772 90.00 90.00 90.00
Space group I4/m (No. 87)
Symmetry-distinct sites (fractional):
Ba 0.000 0.500 0.250
Nd 0.000 0.000 0.000
Mo 0.000 0.000 0.500
O 0.000 0.000 0.266
O 0.187 0.265 0.500

=====

Structure and computed XRD peak list of MgMn6O8F4 (a DFT-relaxed cell (GGA+U, the Materials Project); Cu Kα (λ = 1.5418 Å)).
No peak broadening, texture or thermal motion is included.

Top 6 peaks for 10° ≤ 2θ ≤ 80°, most intense first:
hkl 0 1 3, 2θ = 26.15°, I 100.0
hkl 0 1 -3, 2θ = 25.21°, I 54.4
hkl 0 1 -4, 2θ = 30.19°, I 42.3
hkl 1 -2 4, 2θ = 52.82°, I 39.2
hkl 1 0 -3, 2θ = 35.02°, I 34.6
hkl 1 0 3, 2θ = 35.13°, I 27.5

Lattice parameters (Å, degrees): 3.045 5.117 14.170 92.05 90.21 90.25
Space group P1 (No. 1)
Symmetry-distinct sites (fractional):
Mg 0.000 0.000 0.000
Mn 0.001 0.510 0.954
Mn 0.004 0.269 0.342
Mn 0.004 0.373 0.644
Mn 0.502 0.817 0.183
Mn 0.504 0.784 0.482
Mn 0.504 0.985 0.810
O 0.001 0.722 0.095
O 0.003 0.003 0.241
O 0.004 0.601 0.422
O 0.501 0.775 0.927
O 0.504 0.100 0.400
O 0.504 0.546 0.585
O 0.505 0.208 0.706
O 0.991 0.179 0.874
F 0.004 0.989 0.549
F 0.017 0.744 0.758
F 0.501 0.233 0.040
F 0.502 0.464 0.266